# 1
For PaMn4W, a crystal structure in Alexandria, relaxed with PBE gives the theoretical powder XRD pattern in this record (Cu Kα).
Kinematic intensities with the Lorentz-polarization factor, no thermal factor.

Principal peaks in the range 2θ = 10–90°, by angle:
hkl, Position (°2θ), Rel. int.
1 1 1, 21.98, 35
2 0 0, 25.43, 1
2 2 0, 36.27, 82
3 1 1, 42.82, 100
2 2 2, 44.82, 9
4 0 0, 52.24, 3
3 3 1, 57.33, 9
4 2 2, 65.25, 31
5 1 1, 69.76, 31
4 4 0, 77.01, 21
5 3 1, 81.25, 8
6 2 0, 88.22, 14

Atomic structure:
```
data_PaMn4W
_chemical_formula_sum 'Pa4 Mn16 W4'
_cell_length_a 7.005
_cell_length_b 7.005
_cell_length_c 7.005
_cell_angle_alpha 90.00
_cell_angle_beta 90.00
_cell_angle_gamma 90.00
_space_group_name_H-M_alt 'F -4 3 m'
_space_group_IT_number 216
_space_group_name_Hall 'F -4 2 3'
loop_
_atom_site_label
_atom_site_fract_x
_atom_site_fract_y
_atom_site_fract_z
Pa1 0.000 0.000 0.000
Mn1 0.125 0.125 0.625
W1 0.250 0.250 0.250
```


# 2
For MnPb, a crystal structure in Alexandria, relaxed with PBE gives the theoretical powder XRD pattern in this record (Cu Kα).
Kinematic intensities with the Lorentz-polarization factor, no thermal factor.

Principal peaks in the range 2θ = 10–90°, by angle:
hkl, Position (°2θ), Rel. int.
2 0 1, 25.13, 28
2 0 -2, 25.49, 32
0 0 2, 28.78, 43
1 1 0, 29.05, 55
4 0 0, 30.14, 51
4 0 -2, 30.55, 50
3 1 -1, 34.85, 45
3 1 0, 36.24, 74
2 0 2, 38.49, 29
1 1 -2, 38.68, 100
5 1 -2, 45.75, 29
2 0 -4, 53.65, 30

Atomic structure:
```
data_MnPb
_chemical_formula_sum 'Mn6 Pb6'
_cell_length_a 13.389
_cell_length_b 3.182
_cell_length_c 7.004
_cell_angle_alpha 90.00
_cell_angle_beta 117.65
_cell_angle_gamma 90.00
_space_group_name_H-M_alt 'C 1 m 1'
_space_group_IT_number 8
_space_group_name_Hall 'C -2y'
loop_
_atom_site_label
_atom_site_fract_x
_atom_site_fract_y
_atom_site_fract_z
Mn1 0.000 0.000 0.000
Mn2 0.082 0.000 0.420
Mn3 0.395 0.000 0.170
Pb1 0.211 0.500 0.219
Pb2 0.261 0.500 0.763
Pb3 0.477 0.000 0.638
```